Entry 1:
This entry pairs a crystal structure of NaCrH4 with its calculated powder diffraction line list. Radiation: Cu Ka. Structure: a PBE-relaxed structure.
No peak broadening, texture or thermal motion is included.

Principal peaks in the range 2θ = 15–90°, by angle:
two_theta	I_rel
19.02	100
19.32	63
23.80	13
33.07	39
33.61	71
38.56	20
41.23	19
44.27	16
49.62	23
58.54	13

Atomic structure:
abc: 5.409 5.409 4.613
angles: 99.54 99.54 116.32
Fractional coordinates of all 12 atoms:
Na1 0.151 0.849 0.750
Na2 0.849 0.151 0.250
Cr1 0.497 0.503 0.750
Cr2 0.503 0.497 0.250
H1 0.212 0.329 0.912
H2 0.278 0.550 0.464
H3 0.329 0.212 0.412
H4 0.450 0.722 0.036
H5 0.550 0.278 0.964
H6 0.671 0.788 0.588
H7 0.722 0.450 0.536
H8 0.788 0.671 0.088



Entry 2:
This entry pairs a crystal structure of NaCr2H with its calculated powder diffraction line list. Radiation: Cu Ka. Structure: a PBE-relaxed structure.
No peak broadening, texture or thermal motion is included.

Principal peaks in the range 2θ = 15–90°, by angle:
two_theta	I_rel
20.41	59
33.64	11
39.67	100
41.52	68
48.31	18
52.97	11
64.23	28
70.73	27
84.27	9
85.48	20

Atomic structure:
abc: 5.328 5.328 5.328
angles: 60.00 60.00 60.00
Fractional coordinates of all 8 atoms:
Na1 0.125 0.125 0.125
Na2 0.875 0.875 0.875
Cr1 0.000 0.500 0.500
Cr2 0.500 0.000 0.500
Cr3 0.500 0.500 0.000
Cr4 0.500 0.500 0.500
H1 0.375 0.375 0.375
H2 0.625 0.625 0.625



Entry 3:
This entry pairs a crystal structure of Na3CrH7 with its calculated powder diffraction line list. Radiation: Cu Ka. Structure: a PBE-relaxed structure.
No peak broadening, texture or thermal motion is included.

Principal peaks in the range 2θ = 15–90°, by angle:
two_theta	I_rel
20.05	29
20.25	24
23.09	20
32.89	100
33.10	49
33.34	100
33.61	47
47.19	38
58.71	17
58.83	17

Atomic structure:
abc: 5.377 5.377 5.335
angles: 118.87 118.87 91.56
Fractional coordinates of all 11 atoms:
Na1 0.000 0.000 0.000
Na2 0.275 0.763 0.508
Na3 0.763 0.275 0.508
Cr1 0.516 0.516 0.989
H1 0.241 0.657 0.972
H2 0.255 0.255 0.908
H3 0.334 0.334 0.548
H4 0.595 0.834 0.029
H5 0.657 0.241 0.972
H6 0.700 0.700 0.432
H7 0.834 0.595 0.029